Theoretical PXRD pattern
Compound: Rb3Er
Radiation: Cu Kα (weighted mean of Kα1 and Kα2)
Structure: a DFT-relaxed cell (PBE, the Materials Project)
Kinematic intensities with the Lorentz-polarization factor, no thermal factor.

Structural model:
```
Rb3Er
1.0
0.000 5.105 5.105
5.105 0.000 5.105
5.105 5.105 0.000
Rb Er
3 1
Cartesian
0.000 0.000 0.000 Rb
2.552 2.552 2.552 Rb
7.657 7.657 7.657 Rb
5.105 5.105 5.105 Er
```

Top 10 peaks for 5° ≤ 2θ ≤ 70°, most intense first:
24.7°, I = 100
43.4°, I = 44
68.8°, I = 22
35.2°, I = 20
57.1°, I = 19
50.6°, I = 14
15.0°, I = 7
63.1°, I = 5
29.0°, I = 4
17.4°, I = 4

Theoretical PXRD pattern
Compound: Rb3Er
Radiation: Cu Kα (weighted mean of Kα1 and Kα2)
Structure: a DFT-relaxed cell (PBE, the Materials Project)
Kinematic intensities with the Lorentz-polarization factor, no thermal factor.

Structural model:
```
Rb3Er
1.0
6.433 0.000 0.000
0.000 6.433 0.000
0.000 0.000 6.433
Rb Er
3 1
Cartesian
0.000 0.000 3.216 Rb
0.000 3.216 0.000 Rb
3.216 0.000 0.000 Rb
3.216 3.216 3.216 Er
```

Top 10 peaks for 5° ≤ 2θ ≤ 70°, most intense first:
24.0°, I = 100
27.7°, I = 52
46.8°, I = 49
39.6°, I = 40
63.0°, I = 20
64.8°, I = 18
49.1°, I = 14
13.8°, I = 9
19.5°, I = 8
57.3°, I = 7

Theoretical PXRD pattern
Compound: Rb3Er
Radiation: Cu Kα (weighted mean of Kα1 and Kα2)
Structure: a DFT-relaxed cell (PBE, the Materials Project)
Kinematic intensities with the Lorentz-polarization factor, no thermal factor.

Structural model:
```
Rb3Er
1.0
9.095 0.000 0.000
-4.548 7.877 0.000
0.000 0.000 7.399
Rb Er
6 2
Cartesian
0.000 2.736 1.850 Rb
-2.178 6.509 1.850 Rb
2.370 1.368 5.549 Rb
2.178 6.509 1.850 Rb
6.726 1.368 5.549 Rb
4.548 5.140 5.549 Rb
0.000 5.251 5.549 Er
4.548 2.626 1.850 Er
```

Top 10 peaks for 5° ≤ 2θ ≤ 70°, most intense first:
25.6°, I = 100
24.1°, I = 26
46.9°, I = 25
43.3°, I = 24
22.6°, I = 23
39.6°, I = 20
47.8°, I = 20
33.2°, I = 17
63.8°, I = 15
60.1°, I = 10

Theoretical PXRD pattern
Compound: Rb3Er7S12
Radiation: Cu Kα (weighted mean of Kα1 and Kα2)
Structure: a DFT-relaxed cell (PBE, the Materials Project)
Kinematic intensities with the Lorentz-polarization factor, no thermal factor.

Structural model:
```
Rb3Er7S12
1.0
3.994 0.000 0.000
0.000 12.147 0.000
0.000 0.000 25.033
Rb Er S
6 14 24
Cartesian
0.000 0.469 0.000 Rb
0.000 3.787 8.457 Rb
0.000 5.524 18.326 Rb
1.997 6.622 5.809 Rb
1.997 8.359 20.974 Rb
1.997 11.677 12.516 Rb
0.000 1.880 16.431 Er
0.000 3.031 21.712 Er
0.000 4.200 1.956 Er
0.000 6.407 11.269 Er
0.000 8.252 1.205 Er
0.000 10.006 17.153 Er
0.000 11.819 7.171 Er
1.997 0.328 19.688 Er
1.997 2.141 4.637 Er
1.997 3.894 13.721 Er
1.997 5.739 23.785 Er
1.997 7.946 14.472 Er
1.997 9.116 9.196 Er
1.997 10.266 3.914 Er
0.000 0.113 4.339 S
0.000 2.107 13.721 S
0.000 2.124 19.152 S
0.000 3.934 24.281 S
0.000 3.972 4.730 S
0.000 5.965 14.061 S
0.000 7.243 8.709 S
0.000 7.583 23.615 S
0.000 8.501 3.885 S
0.000 9.708 14.505 S
0.000 10.632 19.772 S
0.000 10.914 9.670 S
1.997 1.232 22.186 S
1.997 1.515 7.255 S
1.997 2.439 1.989 S
1.997 3.645 16.402 S
1.997 4.564 11.099 S
1.997 4.903 21.225 S
1.997 6.182 1.544 S
1.997 8.175 17.246 S
1.997 8.213 11.765 S
1.997 10.023 6.636 S
1.997 10.039 1.205 S
1.997 12.034 16.855 S
```

Top 10 peaks for 5° ≤ 2θ ≤ 70°, most intense first:
31.7°, I = 100
10.1°, I = 79
45.3°, I = 35
25.8°, I = 32
20.4°, I = 31
45.4°, I = 31
26.2°, I = 30
27.0°, I = 24
33.0°, I = 23
32.3°, I = 23